Diffraction record for Fe3O4F2. The X-ray diffraction stick pattern is simulated, not measured: it uses a DFT-relaxed cell (PBE+U, Alexandria) and λ = 1.5418 Å (Cu Kα).
Lines closer than 0.1° are merged.

Structure:
Lattice parameters (Å, degrees): 9.2266 4.6587 4.6534 90.00 90.00 90.00
Atoms (fractional coordinates):
Fe (0.0000, 0.2425, 0.0000)
Fe (0.1587, 0.7793, 0.4670)
Fe (0.3413, 0.2207, 0.9670)
Fe (0.5000, 0.7575, 0.5000)
Fe (0.6587, 0.2207, 0.9670)
Fe (0.8413, 0.7793, 0.4670)
O (0.0000, 0.5628, 0.2803)
O (0.0000, 0.9629, 0.6763)
O (0.1705, 0.0650, 0.1638)
O (0.3295, 0.9350, 0.6638)
O (0.5000, 0.0371, 0.1763)
O (0.5000, 0.4372, 0.7803)
O (0.6705, 0.9350, 0.6638)
O (0.8295, 0.0650, 0.1638)
F (0.1683, 0.4523, 0.7756)
F (0.3317, 0.5477, 0.2756)
F (0.6683, 0.5477, 0.2756)
F (0.8317, 0.4523, 0.7756)

Most intense lines, 10 to 90 degrees two-theta, sorted by position:
hkl  2theta  intensity
0 1 1  27.08  100
3 0 1  34.96  55
0 0 2  38.68  9
3 1 1  40.12  17
3 1 2  53.12  59
0 2 2  55.85  17
6 0 0  60.18  9
0 1 3  63.15  9
6 1 1  67.19  12
3 0 3  67.61  20